# LiDyIn2
Computed powder XRD pattern, Cu Kα, 1.54184 Å. Input: a crystal structure in the Materials Project, relaxed with GGA-PBE.

a = 7.268 Å, b = 7.268 Å, c = 7.268 Å
α = 90.00°, β = 90.00°, γ = 90.00°
Space group Fm-3m (No. 225)
Asymmetric unit:
Li 0.000 0.000 0.000
Dy 0.000 0.000 0.500
In 0.250 0.250 0.250

Main lines, in order of rising 2θ (2θ = 5–70°):
2theta	Rel. int.	(hkl)
21.2	35	1 1 1
24.5	4	2 0 0
34.9	100	2 2 0
41.2	19	3 1 1
50.2	18	4 0 0
55.1	8	3 3 1
62.6	36	4 2 2
66.9	6	5 1 1